1.
Starting from the PBE geometry in Alexandria, the powder X-ray diffraction pattern of SmY3Zn8 was computed for CuKα.
Kinematic intensities with the Lorentz-polarization factor, no thermal factor.

Cell and atoms:
a b c (Å): 9.4791 9.4791 9.4791
angles (deg): 33.72 33.72 33.72
Fractional positions:
Sm  0.0000  0.0000  0.0000
Y  0.1246  0.1246  0.1246
Y  0.5009  0.5009  0.5009
Y  0.6257  0.6257  0.6257
Zn  0.0628  0.0628  0.5607
Zn  0.0628  0.5607  0.0628
Zn  0.0649  0.5627  0.5627
Zn  0.3129  0.3129  0.3129
Zn  0.5607  0.0628  0.0628
Zn  0.5627  0.0649  0.5627
Zn  0.5627  0.5627  0.0649
Zn  0.8126  0.8126  0.8126

The 10 most intense peaks (10 to 90 degrees two-theta), by intensity:
d (Å)	2θ (°)	I_rel
2.342	38.44	100
2.335	38.55	33
1.495	62.10	31
2.243	40.20	29
2.749	32.57	27
2.739	32.69	27
1.374	68.23	17
1.370	68.50	16
1.586	58.17	15
2.233	40.39	9

=====

2.
Starting from the PBE geometry in Alexandria, the powder X-ray diffraction pattern of Sm3YZn8 was computed for CuKα.
Kinematic intensities with the Lorentz-polarization factor, no thermal factor.

Cell and atoms:
a b c (Å): 5.6246 5.6246 8.6848
angles (deg): 90.00 90.00 120.00
Fractional positions:
Sm  0.0000  0.0000  0.0000
Sm  0.0000  0.0000  0.3910
Sm  0.3333  0.6667  0.8942
Y  0.3333  0.6667  0.5048
Zn  0.0002  0.5001  0.1997
Zn  0.3356  0.1678  0.6957
Zn  0.4999  0.9998  0.1997
Zn  0.4999  0.5001  0.1997
Zn  0.6667  0.3333  0.4465
Zn  0.6667  0.3333  0.9483
Zn  0.8322  0.1678  0.6957
Zn  0.8322  0.6644  0.6957

The 10 most intense peaks (10 to 90 degrees two-theta), by intensity:
d (Å)	2θ (°)	I_rel
2.360	38.12	100
2.489	36.09	64
2.345	38.39	56
2.812	31.82	48
1.554	59.50	30
1.414	66.07	27
1.521	60.92	25
1.406	66.49	23
1.224	78.06	13
2.436	36.91	13

=====

3.
Starting from the PBE geometry in Alexandria, the powder X-ray diffraction pattern of Sm5YZn4 was computed for CuKα.
Kinematic intensities with the Lorentz-polarization factor, no thermal factor.

Cell and atoms:
a b c (Å): 3.6423 3.6423 19.6087
angles (deg): 90.00 90.00 90.00
Fractional positions:
Sm  0.0000  0.0000  0.0000
Sm  0.0000  0.0000  0.1848
Sm  0.0000  0.0000  0.3693
Sm  0.0000  0.0000  0.6307
Sm  0.0000  0.0000  0.8152
Y  0.5000  0.5000  0.5000
Zn  0.5000  0.5000  0.0932
Zn  0.5000  0.5000  0.2776
Zn  0.5000  0.5000  0.7224
Zn  0.5000  0.5000  0.9068

The 10 most intense peaks (10 to 90 degrees two-theta), by intensity:
d (Å)	2θ (°)	I_rel
2.669	33.58	100
2.575	34.83	67
1.504	61.66	34
2.432	36.95	28
1.821	50.09	24
3.642	24.44	18
1.466	63.46	15
1.458	63.85	11
2.924	30.58	11
1.152	84.03	10

=====

4.
Starting from the PBE geometry in Alexandria, the powder X-ray diffraction pattern of Sm6Y4Zr was computed for CuKα.
Kinematic intensities with the Lorentz-polarization factor, no thermal factor.

Cell and atoms:
a b c (Å): 8.7818 8.7818 9.1742
angles (deg): 90.00 90.00 90.00
Fractional positions:
Sm  0.0000  0.0000  0.1755
Sm  0.0000  0.0000  0.8245
Sm  0.1471  0.3456  0.5000
Sm  0.1544  0.3529  0.0000
Sm  0.3456  0.8529  0.5000
Sm  0.3529  0.8456  0.0000
Sm  0.5000  0.5000  0.3245
Sm  0.5000  0.5000  0.6755
Sm  0.6471  0.1544  0.0000
Sm  0.6544  0.1471  0.5000
Sm  0.8456  0.6471  0.0000
Sm  0.8529  0.6544  0.5000
Y  0.1481  0.6481  0.2500
Y  0.1481  0.6481  0.7500
Y  0.3519  0.1481  0.2500
Y  0.3519  0.1481  0.7500
Y  0.6481  0.8519  0.2500
Y  0.6481  0.8519  0.7500
Y  0.8519  0.3519  0.2500
Y  0.8519  0.3519  0.7500
Zr  0.0000  0.0000  0.5000
Zr  0.5000  0.5000  0.0000

The 10 most intense peaks (10 to 90 degrees two-theta), by intensity:
d (Å)	2θ (°)	I_rel
2.983	29.95	100
2.777	32.23	65
1.537	60.23	30
2.413	37.27	14
2.888	30.96	13
3.105	28.75	12
1.768	51.69	11
1.964	46.23	11
1.932	47.04	11
1.425	65.51	10